The following is a simulated X-ray diffraction stick pattern of Tl2F3. It was derived from a crystal structure in Alexandria, relaxed with PBE, using a wavelength of 1.5418 Å.

Principal peaks in the range 15° ≤ 2θ ≤ 90°, by angle:
2θ = 26.70°, I = 100.0, (1 1 0)
2θ = 32.86°, I = 1.0, (1 1 1)
2θ = 38.12°, I = 29.1, (2 0 0)
2θ = 47.16°, I = 44.6, (2 1 1)
2θ = 55.02°, I = 19.8, (2 2 0)
2θ = 62.18°, I = 20.0, (3 1 0)
2θ = 68.90°, I = 6.6, (2 2 2)
2θ = 75.32°, I = 23.2, (3 2 1)
2θ = 81.56°, I = 3.1, (4 0 0)
2θ = 87.71°, I = 12.3, (4 1 1)

Crystal structure
Cell lengths 4.721, 4.721, 4.721 Å; angles 90.00, 90.00, 90.00 degrees
Element x y z (fractional)
Tl  0.000  0.000  0.000
Tl  0.500  0.500  0.500
F  0.000  0.000  0.500
F  0.000  0.500  0.000
F  0.500  0.000  0.000